1.
# Sm3In3IrAu2
Computed powder diffractogram, Cu Kα (weighted mean of Kα1 and Kα2). Input: a structure optimized by DFT (PBE).
Neutral-atom scattering factors, no anomalous dispersion.

Cell: 7.769 7.769 4.053 Å, 90.00 90.00 120.00°
Element x y z (fractional)
1 Sm 0.000 0.599 0.000
2 Sm 0.401 0.401 0.000
3 Sm 0.599 0.000 0.000
4 In 0.000 0.249 0.500
5 In 0.249 0.000 0.500
6 In 0.751 0.751 0.500
7 Ir 0.000 0.000 0.000
8 Au 0.333 0.667 0.500
9 Au 0.667 0.333 0.500

Top 6 peaks for 2θ = 10–90°, by angle:
2θ/deg	Rel. int.
31.91	85
34.65	100
35.29	36
40.21	52
41.94	48
64.61	36

2.
# KRbInAu
Computed powder diffractogram, Cu Kα (weighted mean of Kα1 and Kα2). Input: a structure optimized by DFT (PBE).
Neutral-atom scattering factors, no anomalous dispersion.

Cell: 11.319 11.319 6.277 Å, 98.73 98.73 25.20°
Element x y z (fractional)
1 K 0.214 0.214 0.220
2 K 0.786 0.786 0.780
3 Rb 0.441 0.441 0.707
4 Rb 0.559 0.559 0.293
5 In 0.084 0.084 0.781
6 In 0.916 0.916 0.219
7 Au 0.362 0.362 0.153
8 Au 0.638 0.638 0.847

Top 6 peaks for 2θ = 10–90°, by angle:
2θ/deg	Rel. int.
15.30	100
16.25	84
26.41	53
27.17	68
29.36	59
32.41	62

3.
# La3Mg3InAu2
Computed powder diffractogram, Cu Kα (weighted mean of Kα1 and Kα2). Input: a structure optimized by DFT (PBE).
Neutral-atom scattering factors, no anomalous dispersion.

Cell: 7.673 7.673 4.616 Å, 90.00 90.00 120.00°
Element x y z (fractional)
1 La 0.000 0.432 0.000
2 La 0.432 0.000 0.000
3 La 0.568 0.568 0.000
4 Mg 0.000 0.755 0.500
5 Mg 0.245 0.245 0.500
6 Mg 0.755 0.000 0.500
7 In 0.000 0.000 0.000
8 Au 0.333 0.667 0.500
9 Au 0.667 0.333 0.500

Top 6 peaks for 2θ = 10–90°, by angle:
2θ/deg	Rel. int.
13.32	26
23.18	39
30.29	72
33.22	100
39.03	25
40.74	24